[1]
Computed powder XRD pattern of LaHgH6Ru for Cu Kα (λ = 1.5418 Å), from a crystal structure in Alexandria, relaxed with PBE.
Neutral-atom scattering factors, no anomalous dispersion.

Peak list (10 most intense, 10 to 90 degrees two-theta, low angle first)
2θ 19.6, I 12.7
2θ 29.0, I 100.0
2θ 37.0, I 56.2
2θ 39.9, I 14.8
2θ 42.2, I 11.4
2θ 47.6, I 26.0
2θ 55.5, I 35.2
2θ 61.8, I 23.7
2θ 80.5, I 12.1
2θ 85.9, I 11.6

Cell and atoms:
a b c (Å): 4.864 4.864 4.521
angles (deg): 90.00 90.00 120.00
Fractional positions:
La  0.000  0.000  0.000
Hg  0.333  0.667  0.499
H  0.528  0.055  0.784
H  0.528  0.057  0.221
H  0.528  0.472  0.784
H  0.530  0.472  0.221
H  0.943  0.470  0.221
H  0.945  0.472  0.784
Ru  0.667  0.333  0.503

[2]
Computed powder XRD pattern of Li4H7RhS3O13 for Cu Kα (λ = 1.5418 Å), from a crystal structure in Alexandria, relaxed with PBE.
Neutral-atom scattering factors, no anomalous dispersion.

Peak list (10 most intense, 10 to 90 degrees two-theta, low angle first)
2θ 13.5, I 100.0
2θ 17.2, I 65.9
2θ 21.0, I 21.4
2θ 25.0, I 37.7
2θ 28.0, I 53.3
2θ 32.9, I 19.3
2θ 34.6, I 18.2
2θ 39.6, I 16.3
2θ 41.0, I 18.7
2θ 41.4, I 14.2

Cell and atoms:
a b c (Å): 6.874 6.874 6.874
angles (deg): 76.04 76.04 76.04
Fractional positions:
Li  0.000  0.000  0.000
Li  0.207  0.829  0.591
Li  0.591  0.207  0.829
Li  0.829  0.591  0.207
H  0.100  0.160  0.572
H  0.160  0.572  0.100
H  0.272  0.483  0.348
H  0.348  0.272  0.483
H  0.483  0.348  0.272
H  0.572  0.100  0.160
H  0.779  0.779  0.779
Rh  0.197  0.197  0.197
S  0.420  0.783  0.995
S  0.783  0.995  0.420
S  0.995  0.420  0.783
O  0.111  0.493  0.236
O  0.181  0.314  0.888
O  0.236  0.111  0.493
O  0.248  0.814  0.874
O  0.314  0.888  0.181
O  0.408  0.408  0.408
O  0.493  0.236  0.111
O  0.582  0.908  0.856
O  0.814  0.874  0.248
O  0.856  0.582  0.908
O  0.874  0.248  0.814
O  0.888  0.181  0.314
O  0.908  0.856  0.582

[3]
Computed powder XRD pattern of Hg3Pd3Au for Cu Kα (λ = 1.5418 Å), from a crystal structure in Alexandria, relaxed with PBE.
Neutral-atom scattering factors, no anomalous dispersion.

Peak list (10 most intense, 10 to 90 degrees two-theta, low angle first)
2θ 27.1, I 22.8
2θ 28.7, I 10.9
2θ 38.6, I 27.4
2θ 38.8, I 25.3
2θ 39.9, I 100.0
2θ 55.8, I 16.9
2θ 70.6, I 17.3
2θ 70.9, I 15.1
2θ 73.1, I 8.5
2θ 86.0, I 10.3

Cell and atoms:
a b c (Å): 6.586 6.586 6.221
angles (deg): 90.00 90.00 90.33
Fractional positions:
Hg  0.222  0.222  0.500
Hg  0.239  0.239  0.000
Hg  0.239  0.761  0.000
Hg  0.761  0.239  0.000
Hg  0.761  0.761  0.000
Hg  0.778  0.778  0.500
Pd  0.000  0.500  0.251
Pd  0.000  0.500  0.749
Pd  0.500  0.000  0.251
Pd  0.500  0.000  0.749
Pd  0.500  0.500  0.263
Pd  0.500  0.500  0.737
Au  0.235  0.765  0.500
Au  0.765  0.235  0.500

[4]
Computed powder XRD pattern of Dy13Y3 for Cu Kα (λ = 1.5418 Å), from a crystal structure in Alexandria, relaxed with PBE.
Neutral-atom scattering factors, no anomalous dispersion.

Peak list (10 most intense, 10 to 90 degrees two-theta, low angle first)
2θ 30.9, I 100.0
2θ 35.8, I 50.5
2θ 51.5, I 35.8
2θ 61.3, I 42.5
2θ 64.3, I 12.2
2θ 75.8, I 3.8
2θ 75.9, I 1.9
2θ 84.1, I 17.6
2θ 86.8, I 11.0
2θ 86.9, I 5.5

Cell and atoms:
a b c (Å): 10.024 7.099 7.099
angles (deg): 90.00 90.00 90.00
Fractional positions:
Dy  0.000  0.000  0.000
Dy  0.000  0.000  0.499
Dy  0.000  0.499  0.000
Dy  0.000  0.499  0.499
Dy  0.250  0.249  0.249
Dy  0.250  0.249  0.750
Dy  0.250  0.750  0.249
Dy  0.500  0.000  0.000
Dy  0.500  0.000  0.499
Dy  0.500  0.499  0.000
Dy  0.750  0.249  0.249
Dy  0.750  0.249  0.750
Dy  0.750  0.750  0.249
Y  0.250  0.750  0.750
Y  0.500  0.499  0.499
Y  0.750  0.750  0.750

[5]
Computed powder XRD pattern of SbO2 for Cu Kα (λ = 1.5418 Å), from a crystal structure in Alexandria, relaxed with PBE.
Neutral-atom scattering factors, no anomalous dispersion.

Peak list (10 most intense, 10 to 90 degrees two-theta, low angle first)
2θ 25.4, I 35.3
2θ 28.5, I 100.0
2θ 29.9, I 28.4
2θ 33.2, I 21.3
2θ 35.7, I 10.6
2θ 36.6, I 11.7
2θ 48.0, I 17.6
2θ 52.3, I 20.4
2θ 52.9, I 11.9
2θ 62.0, I 11.3

Cell and atoms:
a b c (Å): 5.550 4.906 11.936
angles (deg): 90.00 90.00 90.00
Fractional positions:
Sb  0.019  0.037  0.000
Sb  0.133  0.501  0.751
Sb  0.367  0.001  0.251
Sb  0.481  0.537  0.500
Sb  0.519  0.463  0.000
Sb  0.633  0.999  0.751
Sb  0.867  0.499  0.251
Sb  0.981  0.963  0.500
O  0.080  0.795  0.192
O  0.144  0.289  0.311
O  0.156  0.666  0.594
O  0.182  0.339  0.906
O  0.318  0.839  0.406
O  0.344  0.166  0.094
O  0.356  0.789  0.811
O  0.420  0.295  0.692
O  0.580  0.705  0.192
O  0.644  0.211  0.311
O  0.656  0.834  0.594
O  0.682  0.161  0.906
O  0.818  0.661  0.406
O  0.844  0.334  0.094
O  0.856  0.711  0.811
O  0.920  0.205  0.692